(1)
For Cs3Cu2Cl5, a crystal structure in OQMD, relaxed with GGA-PBE gives the simulated powder X-ray diffraction pattern in this record (Cu Ka).
Peak positions follow from Bragg's law for the DFT cell and can differ from measured ones.

Cell and atoms:
```
Cs3Cu2Cl5
1.0
9.2794 0.0000 0.0000
0.0000 10.5422 0.0000
0.0000 0.0000 13.2122
Cs Cu Cl
12 8 20
Cartesian
0.3778 0.1317 2.3555
0.3778 5.1394 2.3555
1.0121 7.9067 5.9594
3.6276 2.6356 12.5655
4.2619 5.4028 8.9615
4.2619 10.4105 8.9615
5.0175 0.1317 4.2506
5.0175 5.1394 4.2506
5.6518 7.9067 0.6467
8.2673 2.6356 7.2527
8.9016 5.4028 10.8567
8.9016 10.4105 10.8567
1.9874 7.9067 0.6367
2.1767 2.6356 4.7652
2.4630 7.9067 11.3713
2.6524 2.6356 7.2428
6.6271 7.9067 5.9694
6.8164 2.6356 1.8409
7.1027 7.9067 8.4470
7.2921 2.6356 12.5755
0.2367 2.6356 13.0733
1.6358 7.9067 9.3062
1.7003 0.6949 5.8215
1.7003 4.5762 5.8215
1.8156 2.6356 9.3311
2.8241 7.9067 2.7250
2.9394 5.9661 12.4276
2.9394 9.8473 12.4276
3.0040 2.6356 2.7001
4.4030 7.9067 6.4672
4.8764 2.6356 6.7450
6.2755 7.9067 10.5121
6.3401 0.6949 0.7846
6.3401 4.5762 0.7846
6.4553 2.6356 10.4872
7.4638 7.9067 3.8811
7.5791 5.9661 7.3907
7.5791 9.8473 7.3907
7.6437 2.6356 3.9060
9.0427 7.9067 0.1389
```

Top 12 peaks for 10 to 90 degrees two-theta, low angle first:
two_theta	Rel. int.
20.51	65.1
21.57	83.6
22.34	76.7
25.58	88.6
28.10	100.0
28.98	65.9
30.88	64.2
31.95	38.8
34.02	94.3
39.39	54.6
39.93	35.5
54.00	36.0

(2)
For Cs2CuHgCl6, a crystal structure in OQMD, relaxed with GGA-PBE gives the simulated powder X-ray diffraction pattern in this record (Cu Ka).
Peak positions follow from Bragg's law for the DFT cell and can differ from measured ones.

Cell and atoms:
```
Cs2CuHgCl6
1.0
7.2629 0.0000 0.0000
0.0000 7.2943 0.0000
-7.2523 0.0000 10.2825
Cs Cu Hg Cl
4 2 2 12
Cartesian
0.0036 0.0102 2.5498
-3.6225 3.6369 7.6911
3.6332 3.6574 2.5914
0.0070 7.2841 7.7327
-3.6261 0.0000 5.1413
0.0000 3.6471 0.0000
3.6315 0.0000 0.0000
0.0053 3.6471 5.1413
-0.0015 3.6653 2.4470
-3.6276 7.2761 7.5883
-5.5068 5.3737 10.2762
-1.8806 5.5677 5.1349
-1.8804 1.7334 5.1477
1.7457 1.9137 0.0064
-1.7351 5.3805 10.2761
1.8911 5.5609 5.1349
1.8913 1.7266 5.1476
5.5174 1.9206 0.0064
3.6382 0.0182 2.6943
0.0121 3.6290 7.8355
```

Top 12 peaks for 10 to 90 degrees two-theta, low angle first:
two_theta	Rel. int.
14.91	14.4
24.46	100.0
24.51	19.9
28.78	14.1
34.88	63.6
43.01	27.3
43.12	27.0
50.16	28.5
56.52	12.7
56.61	12.7
68.20	12.0
68.32	9.6

(3)
For CsCuI2Cl, a crystal structure in OQMD, relaxed with GGA-PBE gives the simulated powder X-ray diffraction pattern in this record (Cu Ka).
Peak positions follow from Bragg's law for the DFT cell and can differ from measured ones.

Cell and atoms:
```
CsCuI2Cl
1.0
-4.0186 4.0186 5.7314
4.0186 -4.0186 5.7314
4.0186 4.0186 -5.7314
Cs Cu I Cl
2 2 4 2
Cartesian
4.0186 0.0000 2.8657
0.0000 4.0186 2.8657
0.0000 0.0000 0.0000
0.0000 0.0000 5.7314
1.8265 1.8265 0.0000
2.1921 -2.1921 5.7314
-2.1921 2.1921 5.7314
2.1921 2.1921 5.7314
0.0000 0.0000 3.5724
0.0000 0.0000 7.8904
```

Top 12 peaks for 10 to 90 degrees two-theta, low angle first:
two_theta	Rel. int.
15.46	23.8
22.03	49.0
27.10	100.0
31.21	32.8
31.48	68.6
35.26	10.5
38.76	18.0
44.92	42.9
45.12	22.5
53.08	11.0
53.43	22.8
55.89	20.2

(4)
For Cs3In2Cu4Cl13, a crystal structure in OQMD, relaxed with GGA-PBE gives the simulated powder X-ray diffraction pattern in this record (Cu Ka).
Peak positions follow from Bragg's law for the DFT cell and can differ from measured ones.

Cell and atoms:
```
Cs3In2Cu4Cl13
1.0
10.5055 0.0000 0.0000
0.0000 10.5055 0.0000
0.0000 0.0000 10.5055
Cs In Cu Cl
6 4 8 26
Cartesian
2.6264 2.6264 7.8791
2.6264 7.8791 2.6264
2.6264 7.8791 7.8791
7.8791 2.6264 2.6264
7.8791 2.6264 7.8791
7.8791 7.8791 2.6264
0.0000 0.0000 0.0000
0.0000 5.2528 5.2528
5.2528 0.0000 5.2528
5.2528 5.2528 0.0000
1.2746 1.2746 3.9782
1.2746 3.9782 1.2746
3.9782 1.2746 1.2746
3.9782 3.9782 3.9782
6.5273 6.5273 6.5273
6.5273 9.2310 9.2310
9.2310 6.5273 9.2310
9.2310 9.2310 6.5273
0.0359 0.0359 7.9256
0.0359 5.2169 7.8326
0.0359 7.8326 5.2169
0.0359 7.9256 0.0359
2.5799 5.2887 5.2887
2.5799 10.4696 10.4696
2.6264 2.6264 2.6264
2.6729 5.2887 10.4696
2.6729 10.4696 5.2887
5.2169 0.0359 7.8326
5.2169 5.2169 7.9256
5.2169 7.8326 0.0359
5.2169 7.9256 5.2169
5.2887 2.5799 5.2887
5.2887 2.6729 10.4696
5.2887 5.2887 2.5799
5.2887 10.4696 2.6729
7.8326 0.0359 5.2169
7.8326 5.2169 0.0359
7.8791 7.8791 7.8791
7.9256 0.0359 0.0359
7.9256 5.2169 5.2169
10.4696 2.5799 10.4696
10.4696 2.6729 5.2887
10.4696 5.2887 2.6729
10.4696 10.4696 2.5799
```

Top 12 peaks for 10 to 90 degrees two-theta, low angle first:
two_theta	Rel. int.
23.96	100.0
25.44	26.9
26.84	30.9
28.17	54.0
29.45	60.3
34.14	50.0
42.14	45.6
44.83	23.3
49.05	94.6
55.31	20.7
58.26	21.2
66.62	24.1

(5)
For Cs2CuPbCl6, a crystal structure in OQMD, relaxed with GGA-PBE gives the simulated powder X-ray diffraction pattern in this record (Cu Ka).
Peak positions follow from Bragg's law for the DFT cell and can differ from measured ones.

Cell and atoms:
```
Cs2CuPbCl6
1.0
6.4400 -3.7184 0.0000
6.4400 3.7184 0.0000
-4.2931 0.0000 6.0720
Cs Cu Pb Cl
2 1 1 6
Cartesian
2.1448 0.0000 1.5181
6.4421 0.0000 4.5539
-2.1466 0.0000 3.0360
6.4400 0.0000 0.0000
5.2968 1.9716 1.6076
-0.1267 0.0000 4.4567
3.2901 1.9716 4.4644
5.2968 -1.9716 1.6076
8.7136 0.0000 1.6153
3.2901 -1.9716 4.4644
```

Top 12 peaks for 10 to 90 degrees two-theta, low angle first:
two_theta	Rel. int.
14.59	11.4
23.93	100.0
28.14	12.4
34.10	52.7
37.27	8.6
42.09	45.5
49.00	35.7
55.24	22.0
61.04	11.9
66.54	24.9
76.92	12.0
81.94	15.2

(6)
For Cs2ScCuCl6, a crystal structure in OQMD, relaxed with GGA-PBE gives the simulated powder X-ray diffraction pattern in this record (Cu Ka).
Peak positions follow from Bragg's law for the DFT cell and can differ from measured ones.

Cell and atoms:
```
Cs2ScCuCl6
1.0
0.0000 5.1054 5.1054
5.1054 0.0000 5.1054
5.1054 5.1054 0.0000
Cs Sc Cu Cl
2 1 1 6
Cartesian
2.5527 2.5527 2.5527
7.6580 7.6580 7.6580
0.0000 0.0000 0.0000
5.1054 5.1054 5.1054
5.1054 5.1054 2.5200
5.1054 2.5200 5.1054
7.6907 5.1054 5.1054
2.5200 5.1054 5.1054
5.1054 7.6907 5.1054
5.1054 5.1054 7.6907
```

Top 12 peaks for 10 to 90 degrees two-theta, low angle first:
two_theta	Rel. int.
24.66	100.0
30.32	57.7
35.16	75.6
43.42	44.4
50.57	49.7
57.05	19.9
60.11	21.5
63.08	16.5
68.80	22.5
79.68	11.1
82.33	9.1
84.96	21.5